Starting from a crystal structure in Alexandria, relaxed with PBE, the powder XRD pattern of LiNdCo4 was calculated for Cu Kα (λ = 1.5418 Å).

Most intense lines, 2θ from 5° to 70°, sorted by position:
h k l	Position (°2θ)	intensity
1 1 1	21.77	30
2 0 0	25.19	32
2 2 0	35.93	29
3 1 1	42.41	100
2 2 2	44.39	38
5 1 1	69.03	30

Structure:
Lattice parameters (Å, degrees): 7.070 7.070 7.070 90.00 90.00 90.00
Space group F-43m (No. 216)
One atom of each set of equivalent atoms:
Li 0.000 0.000 0.000 x4
Nd 0.250 0.250 0.750 x4
Co 0.126 0.126 0.374 x16